Diffraction record for HfSc3O6. The PXRD pattern is computed, not measured: it uses a cell relaxed with GGA-PBE and Cu Kα (λ = 1.5418 Å).

Principal peaks in the range 2θ from 10° to 90°, low angle first:
Position (°2θ)	I (rel.)
15.03	1000
17.15	287
30.33	890
31.84	805
36.73	260
39.57	250
51.41	633
61.34	230

Cell and atoms:
```
HfSc3O6
1.0
3.5852 -5.1718 0.0000
3.5852 5.1718 0.0000
0.0000 0.0000 3.3477
Hf Sc O
1 3 6
Direct
0.0000 0.0000 0.0000
0.0000 0.5000 0.5000
0.5000 0.0000 0.5000
0.5000 0.5000 0.0000
0.1307 0.8693 0.5000
0.1567 0.4069 0.0000
0.4069 0.1567 0.0000
0.5931 0.8433 0.0000
0.8433 0.5931 0.0000
0.8693 0.1307 0.5000
```